# 1
Structure and simulated X-ray diffraction stick pattern of EuYBi (a structure optimized by DFT (GGA-PBE); copper Kα).
Kinematic intensities with the Lorentz-polarization factor, no thermal factor.

Cell and atoms:
abc: 5.254 5.254 4.357
angles: 90.00 90.00 120.00
Element x y z (fractional)
1 Eu 0.000 0.000 0.000
2 Y 0.667 0.333 0.482
3 Bi 0.333 0.667 0.581

Most intense lines, 2θ = 15–90°, low angle first:
- 19.51 deg, intensity 11
- 28.36 deg, intensity 100
- 34.13 deg, intensity 63
- 40.08 deg, intensity 9
- 41.45 deg, intensity 9
- 44.95 deg, intensity 29
- 46.20 deg, intensity 10
- 54.74 deg, intensity 24
- 57.62 deg, intensity 28
- 61.10 deg, intensity 12
- 76.54 deg, intensity 9
- 78.99 deg, intensity 11

=====

# 2
Structure and simulated X-ray diffraction stick pattern of Ce5Sn2Ru2 (a structure optimized by DFT (GGA-PBE); copper Kα).
Kinematic intensities with the Lorentz-polarization factor, no thermal factor.

Cell and atoms:
abc: 10.497 10.497 8.386
angles: 112.94 112.94 34.12
Element x y z (fractional)
1 Ce 0.002 0.342 0.060
2 Ce 0.020 0.020 0.223
3 Ce 0.160 0.497 0.221
4 Ce 0.458 0.036 0.443
5 Ce 0.480 0.478 0.682
6 Ce 0.503 0.840 0.779
7 Ce 0.522 0.520 0.318
8 Ce 0.658 0.998 0.940
9 Ce 0.964 0.542 0.557
10 Ce 0.980 0.980 0.777
11 Sn 0.237 0.559 0.930
12 Sn 0.441 0.763 0.070
13 Sn 0.737 0.056 0.370
14 Sn 0.944 0.263 0.630
15 Ru 0.095 0.406 0.819
16 Ru 0.194 0.806 0.500
17 Ru 0.594 0.905 0.181
18 Ru 0.695 0.305 0.000

Most intense lines, 2θ = 15–90°, low angle first:
- 19.37 deg, intensity 37
- 26.43 deg, intensity 36
- 26.64 deg, intensity 38
- 29.01 deg, intensity 61
- 30.63 deg, intensity 58
- 31.33 deg, intensity 39
- 32.45 deg, intensity 32
- 34.37 deg, intensity 100
- 34.58 deg, intensity 79
- 35.26 deg, intensity 48
- 36.19 deg, intensity 45
- 44.03 deg, intensity 33

=====

# 3
Structure and simulated X-ray diffraction stick pattern of Ca2BeVN4 (a structure optimized by DFT (GGA-PBE); copper Kα).
Kinematic intensities with the Lorentz-polarization factor, no thermal factor.

Cell and atoms:
abc: 5.434 6.649 5.635
angles: 90.00 90.00 90.00
Element x y z (fractional)
1 Ca 0.250 0.001 0.240
2 Ca 0.250 0.499 0.240
3 Ca 0.750 0.501 0.760
4 Ca 0.750 0.999 0.760
5 Be 0.250 0.250 0.805
6 Be 0.750 0.750 0.195
7 V 0.250 0.750 0.806
8 V 0.750 0.250 0.194
9 N 0.006 0.250 0.997
10 N 0.250 0.000 0.661
11 N 0.250 0.500 0.661
12 N 0.494 0.250 0.997
13 N 0.506 0.750 0.003
14 N 0.750 0.000 0.339
15 N 0.750 0.500 0.339
16 N 0.994 0.750 0.003

Most intense lines, 2θ = 15–90°, low angle first:
- 15.73 deg, intensity 24
- 20.66 deg, intensity 27
- 21.12 deg, intensity 26
- 31.24 deg, intensity 18
- 31.76 deg, intensity 33
- 32.97 deg, intensity 47
- 35.44 deg, intensity 100
- 45.38 deg, intensity 17
- 46.43 deg, intensity 44
- 58.99 deg, intensity 20
- 60.48 deg, intensity 20
- 74.99 deg, intensity 17

=====

# 4
Structure and simulated X-ray diffraction stick pattern of CaUTeO6 (a structure optimized by DFT (GGA-PBE); copper Kα).
Kinematic intensities with the Lorentz-polarization factor, no thermal factor.

Cell and atoms:
abc: 5.735 5.735 9.758
angles: 90.00 90.00 120.00
Element x y z (fractional)
1 Ca 0.000 0.000 0.000
2 Ca 0.000 0.000 0.500
3 U 0.333 0.667 0.250
4 U 0.667 0.333 0.750
5 Te 0.333 0.667 0.750
6 Te 0.667 0.333 0.250
7 O 0.010 0.361 0.139
8 O 0.010 0.649 0.361
9 O 0.351 0.361 0.361
10 O 0.351 0.990 0.139
11 O 0.361 0.010 0.639
12 O 0.361 0.351 0.861
13 O 0.639 0.649 0.139
14 O 0.639 0.990 0.361
15 O 0.649 0.010 0.861
16 O 0.649 0.639 0.639
17 O 0.990 0.351 0.639
18 O 0.990 0.639 0.861

Most intense lines, 2θ = 15–90°, low angle first:
- 17.86 deg, intensity 47
- 18.18 deg, intensity 81
- 20.06 deg, intensity 29
- 25.59 deg, intensity 100
- 31.19 deg, intensity 73
- 36.34 deg, intensity 81
- 40.77 deg, intensity 28
- 49.03 deg, intensity 67
- 52.21 deg, intensity 28
- 55.50 deg, intensity 27
- 58.91 deg, intensity 22
- 77.17 deg, intensity 17

=====

# 5
Structure and simulated X-ray diffraction stick pattern of Pm3Cu3Si8 (a structure optimized by DFT (GGA-PBE); copper Kα).
Kinematic intensities with the Lorentz-polarization factor, no thermal factor.

Cell and atoms:
abc: 8.875 8.875 8.875
angles: 155.14 119.75 66.19
Element x y z (fractional)
1 Pm 0.000 0.000 0.000
2 Pm 0.288 0.288 0.000
3 Pm 0.712 0.712 0.000
4 Cu 0.291 0.500 0.791
5 Cu 0.500 0.000 0.500
6 Cu 0.709 0.500 0.209
7 Si 0.002 0.643 0.359
8 Si 0.187 0.889 0.298
9 Si 0.283 0.643 0.641
10 Si 0.409 0.111 0.298
11 Si 0.591 0.889 0.702
12 Si 0.717 0.357 0.359
13 Si 0.813 0.111 0.702
14 Si 0.998 0.357 0.641

Most intense lines, 2θ = 15–90°, low angle first:
- 19.94 deg, intensity 25
- 20.51 deg, intensity 22
- 23.94 deg, intensity 21
- 25.37 deg, intensity 35
- 29.52 deg, intensity 27
- 31.38 deg, intensity 53
- 35.19 deg, intensity 78
- 35.88 deg, intensity 100
- 38.39 deg, intensity 39
- 40.34 deg, intensity 19
- 47.61 deg, intensity 50
- 53.47 deg, intensity 41

=====

# 6
Structure and simulated X-ray diffraction stick pattern of PrSm2TmSe5 (a structure optimized by DFT (GGA-PBE); copper Kα).
Kinematic intensities with the Lorentz-polarization factor, no thermal factor.

Cell and atoms:
abc: 5.085 5.085 11.011
angles: 90.00 90.00 90.00
Element x y z (fractional)
1 Pr 0.000 0.000 0.000
2 Sm 0.500 0.500 0.336
3 Sm 0.500 0.500 0.664
4 Tm 0.000 0.000 0.500
5 Se 0.000 0.000 0.253
6 Se 0.000 0.000 0.747
7 Se 0.000 0.500 0.500
8 Se 0.500 0.000 0.500
9 Se 0.500 0.500 0.000

Most intense lines, 2θ = 15–90°, low angle first:
- 16.10 deg, intensity 18
- 23.82 deg, intensity 20
- 24.76 deg, intensity 100
- 30.03 deg, intensity 40
- 34.93 deg, intensity 47
- 35.30 deg, intensity 85
- 37.14 deg, intensity 45
- 47.01 deg, intensity 23
- 48.76 deg, intensity 19
- 50.78 deg, intensity 30
- 52.17 deg, intensity 34
- 57.30 deg, intensity 20